Li3In3Ag2: theoretical X-ray powder pattern (Cu Kα (λ = 1.5418 Å)), based on a DFT-relaxed cell (GGA-PBE, Alexandria).

Largest 10 diffraction maxima, low angle first, 2θ = 10–90°:
d 3.687, rel. 31.1; d 3.647, rel. 30.2; d 3.533, rel. 59.3; d 2.837, rel. 22.5; d 2.414, rel. 100.0; d 2.399, rel. 98.3; d 2.304, rel. 43.8; d 2.270, rel. 42.2; d 1.801, rel. 20.1; d 1.419, rel. 19.8

Structural model:
abc: 18.684 3.602 4.609
angles: 90.00 103.63 90.00
Space group C2/m (No. 12)
Asymmetric unit:
1 Li 0.000 0.000 0.000 x2
2 Li 0.130 0.000 0.631 x4
3 In 0.000 0.500 0.500 x2
4 In 0.128 0.500 0.129 x4
5 Ag 0.247 0.500 0.746 x4